Theoretical powder diffraction line list
Compound: Mg2NbAl
Radiation: Cu Kα (λ = 1.5418 Å)
Structure: the PBE geometry in OQMD
Peak positions follow from Bragg's law for the DFT cell and can differ from measured ones.

Top 10 peaks for 10° ≤ 2θ ≤ 80°, sorted by position:
2θ/deg, d/Å, Rel. int.
23.05, 3.859, 41
26.68, 3.342, 20
38.08, 2.363, 100
44.98, 2.015, 20
47.10, 1.929, 6
54.95, 1.671, 17
60.37, 1.533, 8
62.11, 1.495, 7
68.81, 1.364, 33
73.65, 1.286, 6

Structure:
```
data_Mg2NbAl
_symmetry_space_group_name_H-M 'P 1'
_symmetry_Int_Tables_number 1
_symmetry_space_group_name_Hall 'P 1'
_cell_length_a 4.726
_cell_length_b 4.726
_cell_length_c 4.726
_cell_angle_alpha 60.00
_cell_angle_beta 60.00
_cell_angle_gamma 60.00
loop_
_atom_site_label
_atom_site_fract_x
_atom_site_fract_y
_atom_site_fract_z
_atom_site_occupancy
Mg1 0.000 0.000 0.000 1
Mg2 0.250 0.250 0.250 1
Nb1 0.750 0.750 0.750 1
Al1 0.500 0.500 0.500 1
```


Theoretical powder diffraction line list
Compound: Pr2Mg3AlNi2
Radiation: Cu Kα (λ = 1.5418 Å)
Structure: the PBE geometry in OQMD
Peak positions follow from Bragg's law for the DFT cell and can differ from measured ones.

Top 12 peaks for 10° ≤ 2θ ≤ 80°, sorted by position:
2θ/deg, d/Å, Rel. int.
22.51, 3.950, 61
22.67, 3.922, 58
32.17, 2.783, 100
35.88, 2.503, 46
36.01, 2.494, 46
37.47, 2.400, 21
37.64, 2.390, 24
42.46, 2.129, 35
45.95, 1.975, 14
48.57, 1.874, 16
48.76, 1.868, 16
49.07, 1.857, 16

Structure:
```
data_Pr2Mg3AlNi2
_symmetry_space_group_name_H-M 'P 1'
_symmetry_Int_Tables_number 1
_symmetry_space_group_name_Hall 'P 1'
_cell_length_a 5.459
_cell_length_b 5.459
_cell_length_c 7.900
_cell_angle_alpha 90.39
_cell_angle_beta 90.39
_cell_angle_gamma 45.92
loop_
_atom_site_label
_atom_site_fract_x
_atom_site_fract_y
_atom_site_fract_z
_atom_site_occupancy
Pr1 0.000 0.000 0.000 1
Pr2 0.114 0.114 0.517 1
Mg1 0.404 0.404 0.319 1
Mg2 0.714 0.714 0.208 1
Mg3 0.714 0.714 0.815 1
Al1 0.400 0.400 0.705 1
Ni1 0.290 0.290 0.997 1
Ni2 0.844 0.844 0.530 1
```